This entry pairs a crystal structure of TbFeSi2Mo with its theoretical X-ray diffraction stick pattern. Radiation: a wavelength of 1.5418 Å. Structure: a GGA-PBE-relaxed structure.
Intensities are scaled so that the largest is 100.

Main lines, in order of rising 2θ (10 to 80 degrees two-theta):
- 24.0°, intensity 39
- 33.4°, intensity 20
- 33.8°, intensity 43
- 36.2°, intensity 100
- 45.9°, intensity 33
- 78.5°, intensity 20

Structure:
Cell lengths 3.957, 3.957, 10.746 Å; angles 90.00, 90.00, 90.00 degrees
Fractional positions:
Tb (0.000, 0.000, 0.000)
Tb (0.500, 0.500, 0.500)
Fe (0.000, 0.500, 0.750)
Fe (0.500, 0.000, 0.250)
Si (0.000, 0.000, 0.386)
Si (0.000, 0.000, 0.614)
Si (0.500, 0.500, 0.114)
Si (0.500, 0.500, 0.886)
Mo (0.000, 0.500, 0.250)
Mo (0.500, 0.000, 0.750)



This entry pairs a crystal structure of NaPm4Sm3Se8 with its theoretical X-ray diffraction stick pattern. Radiation: a wavelength of 1.5418 Å. Structure: a GGA-PBE-relaxed structure.
Intensities are scaled so that the largest is 100.

Main lines, in order of rising 2θ (10 to 80 degrees two-theta):
- 30.2°, intensity 100
- 43.2°, intensity 74
- 53.6°, intensity 26
- 62.8°, intensity 12
- 71.2°, intensity 33
- 79.2°, intensity 25

Structure:
Cell lengths 8.376, 8.376, 8.376 Å; angles 59.98, 59.98, 59.98 degrees
Fractional positions:
Na (0.000, 0.000, 0.000)
Pm (0.000, 0.000, 0.500)
Pm (0.000, 0.500, 0.000)
Pm (0.500, 0.000, 0.000)
Pm (0.500, 0.500, 0.500)
Sm (0.000, 0.500, 0.500)
Sm (0.500, 0.000, 0.500)
Sm (0.500, 0.500, 0.000)
Se (0.248, 0.248, 0.751)
Se (0.248, 0.751, 0.248)
Se (0.249, 0.752, 0.752)
Se (0.251, 0.251, 0.251)
Se (0.749, 0.749, 0.749)
Se (0.751, 0.248, 0.248)
Se (0.752, 0.249, 0.752)
Se (0.752, 0.752, 0.249)



This entry pairs a crystal structure of Te3Se2S2 with its theoretical X-ray diffraction stick pattern. Radiation: a wavelength of 1.5418 Å. Structure: a GGA-PBE-relaxed structure.
Intensities are scaled so that the largest is 100.

Main lines, in order of rising 2θ (10 to 80 degrees two-theta):
- 20.9°, intensity 100
- 22.9°, intensity 47
- 27.0°, intensity 67
- 35.2°, intensity 90
- 35.8°, intensity 52
- 35.9°, intensity 51

Structure:
Cell lengths 3.703, 7.249, 8.715 Å; angles 66.25, 77.91, 89.93 degrees
Fractional positions:
Te (0.000, 0.000, 0.000)
Te (0.247, 0.302, 0.506)
Te (0.753, 0.698, 0.494)
Se (0.153, 0.745, 0.699)
Se (0.847, 0.255, 0.301)
S (0.470, 0.221, 0.059)
S (0.530, 0.779, 0.941)



This entry pairs a crystal structure of Tb3DyPt2 with its theoretical X-ray diffraction stick pattern. Radiation: a wavelength of 1.5418 Å. Structure: a GGA-PBE-relaxed structure.
Intensities are scaled so that the largest is 100.

Main lines, in order of rising 2θ (10 to 80 degrees two-theta):
- 30.2°, intensity 69
- 31.1°, intensity 26
- 32.8°, intensity 100
- 35.8°, intensity 59
- 37.6°, intensity 56
- 44.0°, intensity 28

Structure:
Cell lengths 4.785, 8.848, 7.183 Å; angles 90.00, 90.00, 90.00 degrees
Fractional positions:
Tb (0.000, 0.083, 0.000)
Tb (0.000, 0.333, 0.364)
Tb (0.000, 0.667, 0.864)
Tb (0.000, 0.917, 0.500)
Tb (0.500, 0.168, 0.652)
Tb (0.500, 0.832, 0.152)
Dy (0.500, 0.417, 0.017)
Dy (0.500, 0.583, 0.517)
Pt (0.000, 0.342, 0.768)
Pt (0.000, 0.658, 0.268)
Pt (0.500, 0.159, 0.249)
Pt (0.500, 0.841, 0.749)



This entry pairs a crystal structure of CsRbSnTe2 with its theoretical X-ray diffraction stick pattern. Radiation: a wavelength of 1.5418 Å. Structure: a GGA-PBE-relaxed structure.
Intensities are scaled so that the largest is 100.

Main lines, in order of rising 2θ (10 to 80 degrees two-theta):
- 22.9°, intensity 54
- 24.0°, intensity 61
- 26.1°, intensity 28
- 26.9°, intensity 100
- 35.2°, intensity 56
- 38.2°, intensity 33

Structure:
Cell lengths 7.951, 7.951, 14.073 Å; angles 102.22, 102.22, 34.51 degrees
Fractional positions:
Cs (0.154, 0.154, 0.148)
Cs (0.846, 0.846, 0.852)
Rb (0.143, 0.143, 0.550)
Rb (0.857, 0.857, 0.450)
Sn (0.430, 0.430, 0.274)
Sn (0.570, 0.570, 0.726)
Te (0.106, 0.106, 0.860)
Te (0.380, 0.380, 0.650)
Te (0.620, 0.620, 0.350)
Te (0.894, 0.894, 0.140)



This entry pairs a crystal structure of K2Cd with its theoretical X-ray diffraction stick pattern. Radiation: a wavelength of 1.5418 Å. Structure: a GGA-PBE-relaxed structure.
Intensities are scaled so that the largest is 100.

Main lines, in order of rising 2θ (10 to 80 degrees two-theta):
- 10.5°, intensity 100
- 24.8°, intensity 59
- 28.0°, intensity 69
- 30.3°, intensity 86
- 31.9°, intensity 55
- 54.3°, intensity 27

Structure:
Cell lengths 4.235, 4.235, 33.742 Å; angles 90.00, 90.00, 90.00 degrees
Fractional positions:
K (0.000, 0.250, 0.309)
K (0.000, 0.250, 0.441)
K (0.000, 0.750, 0.559)
K (0.000, 0.750, 0.691)
K (0.500, 0.250, 0.059)
K (0.500, 0.250, 0.191)
K (0.500, 0.750, 0.809)
K (0.500, 0.750, 0.941)
Cd (0.000, 0.250, 0.875)
Cd (0.000, 0.750, 0.125)
Cd (0.500, 0.250, 0.625)
Cd (0.500, 0.750, 0.375)